The following is a simulated powder X-ray diffraction pattern of Sr2ScW3O12. It was derived from DFT lattice parameters and positions (GGA+U), using Cu Kα (weighted mean of Kα1 and Kα2).

```
data_Sr2ScW3O12
_cell_length_a 7.5011
_cell_length_b 7.5011
_cell_length_c 18.2251
_cell_angle_alpha 90.00
_cell_angle_beta 90.00
_cell_angle_gamma 120.00
_space_group_name_H-M_alt 'R -3 m'
_space_group_IT_number 166
_space_group_name_Hall '-R 3 2"'
loop_
_atom_site_label
_atom_site_type_symbol
_atom_site_fract_x
_atom_site_fract_y
_atom_site_fract_z
Sr1 Sr 0.0000 0.0000 0.1947
Sc1 Sc 0.0000 0.0000 0.5000
W1 W 0.0000 0.5000 0.0000
O1 O 0.0570 0.5285 0.1035
O2 O 0.0913 0.5456 0.3541
```

The 10 most intense peaks (2θ = 10–90°), in order of falling intensity:
| 2θ (°) | Rel. int. | h k l |
| --- | --- | --- |
| 27.93 | 1000 | 0 2 1 |
| 16.76 | 437 | 0 1 2 |
| 14.58 | 393 | 0 0 3 |
| 14.48 | 373 | 1 0 1 |
| 29.19 | 292 | 2 0 2 |
| 37.07 | 264 | 2 0 5 |
| 48.55 | 250 | 2 2 0 |
| 33.89 | 221 | 0 2 4 |
| 29.40 | 212 | 0 0 6 |
| 57.78 | 177 | 2 2 6 |